# ThUBi
Computed powder XRD pattern, Cu Kα X-rays. Input: a DFT-relaxed cell (PBE, OQMD).

abc: 7.392 7.392 7.392
angles: 90.00 90.00 90.00
Space group F-43m (No. 216)
One atom of each set of equivalent atoms:
Th: 0.000 0.000 0.000 x4
U: 0.250 0.250 0.750 x4
Bi: 0.000 0.000 0.500 x4

Most intense lines, 2θ from 10° to 90°, low angle first:
2theta	I (rel.)	h k l
20.81	27	1 1 1
24.08	12	2 0 0
34.31	100	2 2 0
40.47	15	3 1 1
49.31	18	4 0 0
54.08	7	3 3 1
61.45	39	4 2 2
72.31	12	4 4 0
76.20	5	5 3 1
82.54	18	6 2 0